# 1
Starting from a DFT-relaxed cell (GGA+U, the Materials Project), the X-ray diffraction stick pattern of Li3Cr5O8 was computed for Cu Kα (λ = 1.5418 Å).

Structural model:
Unit cell a=6.0309 b=6.0309 c=14.6826 alpha=90.00 beta=90.00 gamma=120.00
Space group R-3m (No. 166, hexagonal axes)
Asymmetric unit:
1 Li 0.0000 0.5000 0.0000
2 Cr 0.0000 0.0000 0.0000
3 Cr 0.0000 0.0000 0.5000
4 Cr 0.0000 0.5000 0.5000
5 O 0.0000 0.0000 0.2405
6 O 0.0115 0.5057 0.7538

Peak list (10 most intense, 2θ from 5° to 70°, most intense first)
2θ (°)	intensity	h k l
42.48	100	0 2 4
18.10	68	0 0 3
61.50	28	2 2 0
61.78	27	2 0 8
34.90	26	0 2 1
36.52	22	2 0 2
20.87	10	0 1 2
64.69	8	2 2 3
36.73	7	0 0 6
46.54	7	2 0 5


# 2
Starting from a DFT-relaxed cell (GGA+U, the Materials Project), the X-ray diffraction stick pattern of Li4CrO4 was computed for Cu Kα (λ = 1.5418 Å).

Structural model:
Unit cell a=5.2021 b=5.2247 c=7.7896 alpha=70.67 beta=83.11 gamma=68.04
Space group P-1 (No. 2)
Asymmetric unit:
1 Li 0.2167 0.1089 0.2067
2 Li 0.2400 0.9908 0.5600
3 Li 0.2483 0.5833 0.4159
4 Li 0.2592 0.7403 0.9957
5 Cr 0.2201 0.3376 0.7736
6 O 0.0013 0.1270 0.8065
7 O 0.0259 0.6933 0.6253
8 O 0.3391 0.3427 0.9768
9 O 0.4861 0.1979 0.6176

Peak list (10 most intense, 2θ from 5° to 70°, most intense first)
2θ (°)	intensity	h k l
22.04	100	1 0 -1
21.42	71	1 1 0
19.30	69	0 1 1
25.83	63	0 1 -1
43.72	58	-1 1 3
31.26	46	-1 1 1
27.61	39	1 1 2
41.81	29	2 2 1
24.22	22	0 0 2
63.82	19	-2 2 1


Question: What is the formula in the first record?
Answer: Li3Cr5O8